Entry 1:
Diffraction record for Zn6B5Ir11. The powder diffractogram is theoretical, not measured: it uses a cell relaxed with PBE and CuKα.
Peak positions follow from Bragg's law for the DFT cell and can differ from measured ones.

Principal peaks in the range 10° ≤ 2θ ≤ 80°, by intensity:
2θ (°), d/Å, I_rel
45.49, 1.994, 100
30.89, 2.895, 96
39.67, 2.272, 94
44.60, 2.032, 75
37.99, 2.368, 70
32.56, 2.750, 52

Cell and atoms:
```
Zn6B5Ir11
1.0
2.895 0.000 0.000
0.000 11.407 0.000
0.000 0.000 8.502
Zn B Ir
6 5 11
Cartesian
0.000 0.000 0.000
0.000 0.000 2.552
0.000 0.000 5.538
0.000 3.430 5.596
0.000 5.704 1.178
0.000 7.977 5.596
0.000 2.657 2.814
0.000 2.797 8.204
0.000 5.704 4.024
0.000 8.610 8.204
0.000 8.751 2.814
1.447 1.657 7.009
1.447 1.684 4.077
1.447 2.049 1.266
1.447 4.319 3.038
1.447 4.343 7.890
1.447 5.704 5.555
1.447 7.064 7.890
1.447 7.088 3.038
1.447 9.358 1.266
1.447 9.723 4.077
1.447 9.751 7.009
```

Entry 2:
Diffraction record for SrRhN2. The powder diffractogram is theoretical, not measured: it uses a cell relaxed with PBE and CuKα.
Peak positions follow from Bragg's law for the DFT cell and can differ from measured ones.

Principal peaks in the range 10° ≤ 2θ ≤ 80°, by intensity:
2θ (°), d/Å, I_rel
27.86, 3.203, 100
33.77, 2.654, 97
33.23, 2.696, 85
32.04, 2.794, 67
29.66, 3.012, 58
28.71, 3.109, 47

Cell and atoms:
```
SrRhN2
1.0
6.088 0.000 0.000
0.000 8.357 0.000
-1.881 0.000 4.987
Sr Rh N
4 4 8
Cartesian
0.361 0.862 1.723
-0.580 3.317 4.216
4.787 5.040 0.770
3.847 7.495 3.264
1.587 5.363 2.143
0.647 7.172 4.636
3.560 1.185 0.350
2.620 2.994 2.843
-0.137 0.707 4.529
0.803 3.471 2.036
1.549 5.663 0.204
0.609 6.872 2.697
3.598 1.485 2.290
2.658 2.694 4.783
3.404 4.886 2.951
4.345 7.650 0.457
```

Entry 3:
Diffraction record for Hg. The powder diffractogram is theoretical, not measured: it uses a cell relaxed with PBE and CuKα.
Peak positions follow from Bragg's law for the DFT cell and can differ from measured ones.

Principal peaks in the range 10° ≤ 2θ ≤ 80°, by intensity:
2θ (°), d/Å, I_rel
30.53, 2.928, 100
35.40, 2.535, 51
60.56, 1.529, 44
50.94, 1.793, 37
63.56, 1.464, 13
74.91, 1.268, 6

Cell and atoms:
```
Hg
1.0
5.071 0.000 0.000
0.000 5.071 0.000
0.000 0.000 5.071
Hg
4
Cartesian
0.000 0.000 0.000
0.000 2.535 2.535
2.535 0.000 2.535
2.535 2.535 0.000
```

Entry 4:
Diffraction record for Mg6SiBi. The powder diffractogram is theoretical, not measured: it uses a cell relaxed with PBE and CuKα.
Peak positions follow from Bragg's law for the DFT cell and can differ from measured ones.

Principal peaks in the range 10° ≤ 2θ ≤ 80°, by intensity:
2θ (°), d/Å, I_rel
37.57, 2.394, 100
23.94, 3.717, 87
16.35, 5.420, 83
22.99, 3.869, 49
14.95, 5.925, 48
35.01, 2.563, 42

Cell and atoms:
```
Mg6SiBi
1.0
5.108 0.000 0.000
0.000 6.095 0.000
0.000 0.000 11.850
Mg Si Bi
12 2 2
Cartesian
0.000 0.000 0.000
0.000 1.479 8.690
0.000 1.568 2.765
0.000 3.048 5.925
0.000 4.527 2.765
0.000 4.616 8.690
2.554 0.000 1.800
2.554 1.485 10.724
2.554 1.562 4.799
2.554 3.048 7.725
2.554 4.533 4.799
2.554 4.610 10.724
2.554 0.000 8.354
2.554 3.048 2.429
0.000 0.000 5.677
0.000 3.048 11.602
```

Entry 5:
Diffraction record for Ca2Bi7. The powder diffractogram is theoretical, not measured: it uses a cell relaxed with PBE and CuKα.
Peak positions follow from Bragg's law for the DFT cell and can differ from measured ones.

Principal peaks in the range 10° ≤ 2θ ≤ 80°, by intensity:
2θ (°), d/Å, I_rel
32.18, 2.781, 100
29.81, 2.997, 82
30.40, 2.940, 69
33.62, 2.666, 61
31.88, 2.807, 51
51.40, 1.778, 37

Cell and atoms:
```
Ca2Bi7
1.0
3.082 -5.321 0.000
3.082 5.321 0.000
-2.168 0.000 8.820
Ca Bi
2 7
Cartesian
3.082 3.551 0.000
3.082 -3.551 0.000
-0.090 1.810 5.978
0.960 0.000 2.710
-0.090 -1.810 5.978
3.082 0.000 0.000
4.086 1.810 2.842
3.036 0.000 6.110
4.086 -1.810 2.842
```

Entry 6:
Diffraction record for SbCNCl5. The powder diffractogram is theoretical, not measured: it uses a cell relaxed with PBE and CuKα.
Peak positions follow from Bragg's law for the DFT cell and can differ from measured ones.

Principal peaks in the range 10° ≤ 2θ ≤ 80°, by intensity:
2θ (°), d/Å, I_rel
15.43, 5.742, 100
15.77, 5.620, 55
17.18, 5.163, 54
15.51, 5.712, 52
30.74, 2.909, 37
22.02, 4.037, 32

Cell and atoms:
```
SbCNCl5
1.0
11.427 0.000 0.000
0.000 6.416 0.000
-0.281 0.000 13.071
Sb C N Cl
4 4 4 20
Cartesian
2.631 0.152 1.747
2.490 3.056 8.283
8.656 3.360 4.789
8.515 6.264 11.324
5.152 0.491 6.765
5.292 2.717 0.230
5.854 3.699 12.841
5.995 5.925 6.306
4.435 1.324 7.156
4.576 1.884 0.621
6.570 4.532 12.450
6.711 5.092 5.915
0.884 4.418 9.249
1.025 5.206 2.713
1.102 1.530 7.143
1.242 1.678 0.607
2.799 4.201 6.226
2.659 5.423 12.762
2.746 1.480 10.024
2.887 1.728 3.488
4.450 4.139 9.089
4.591 5.485 2.553
6.555 0.931 10.518
6.696 2.277 3.983
8.260 4.688 9.583
8.400 4.936 3.047
8.488 0.993 0.310
8.347 2.215 6.845
9.904 4.738 12.464
10.044 4.886 5.928
10.121 1.210 10.358
10.262 1.998 3.822
```